Pu4Zn2Pd5: calculated PXRD pattern (Cu Kα), based on a crystal structure in Alexandria, relaxed with PBE.
Lines closer than 0.1° are merged.

Crystal structure
```
data_Pu4Zn2Pd5
_chemical_formula_sum 'Pu16 Zn8 Pd20'
_cell_length_a 8.793
_cell_length_b 18.366
_cell_length_c 5.457
_cell_angle_alpha 90.00
_cell_angle_beta 90.00
_cell_angle_gamma 90.00
_space_group_name_H-M_alt 'I b a m'
_space_group_IT_number 72
_space_group_name_Hall '-I 2 2c'
loop_
_atom_site_label
_atom_site_fract_x
_atom_site_fract_y
_atom_site_fract_z
Pu1 0.117 0.148 0.000
Pu2 0.234 0.433 0.000
Zn1 0.000 0.304 0.250
Pd1 0.000 0.000 0.250
Pd2 0.088 0.425 0.500
Pd3 0.202 0.220 0.500
```

Main lines, most intense first (2θ from 15° to 90°):
36.1°, intensity 100; 35.7°, intensity 51; 35.1°, intensity 51; 32.8°, intensity 48; 37.5°, intensity 43; 35.9°, intensity 43; 27.3°, intensity 35; 60.8°, intensity 33; 33.9°, intensity 28; 38.8°, intensity 27

---

Pu3Zn8Pd: calculated PXRD pattern (Cu Kα), based on a crystal structure in Alexandria, relaxed with PBE.
Lines closer than 0.1° are merged.

Crystal structure
```
data_Pu3Zn8Pd
_chemical_formula_sum 'Pu9 Zn24 Pd3'
_cell_length_a 5.3390
_cell_length_b 5.3390
_cell_length_c 26.3274
_cell_angle_alpha 90.00
_cell_angle_beta 90.00
_cell_angle_gamma 120.00
_space_group_name_H-M_alt 'R 3 m'
_space_group_IT_number 160
_space_group_name_Hall 'R 3 -2"'
loop_
_atom_site_label
_atom_site_fract_x
_atom_site_fract_y
_atom_site_fract_z
Pu1 0.0000 0.0000 0.0000
Pu2 0.0000 0.0000 0.1248
Pu3 0.0000 0.0000 0.6260
Zn1 0.0000 0.0000 0.3114
Zn2 0.0000 0.0000 0.8138
Zn3 0.0070 0.5035 0.0653
Zn4 0.1672 0.3345 0.8937
Pd1 0.0000 0.0000 0.4968
```

Main lines, most intense first (2θ from 15° to 90°):
39.5°, intensity 100; 33.4°, intensity 45; 33.6°, intensity 45; 39.4°, intensity 31; 64.0°, intensity 31; 60.0°, intensity 26; 20.4°, intensity 19; 70.6°, intensity 15; 70.2°, intensity 15; 41.4°, intensity 13